This entry pairs a crystal structure of Nb3IrS4 with its theoretical powder diffractogram. Radiation: Cu Ka. Structure: a structure optimized by DFT (PBE).

The 10 most intense peaks (10° ≤ 2θ ≤ 80°), by intensity:
d/Å  I_rel
2.680  100
4.661  51
2.134  41
2.038  40
3.395  38
2.291  36
1.899  33
2.951  31
3.204  30
2.213  17

Cell and atoms:
Cell: 6.552 6.790 6.408 Å, 90.00 90.00 90.00°
Space group Pmn2_1 (No. 31)
Asymmetric unit:
Nb  0.000  0.224  0.000 [2 per cell]
Nb  0.246  0.621  0.867 [4 per cell]
Ir  0.000  0.763  0.501 [2 per cell]
S  0.000  0.106  0.356 [2 per cell]
S  0.000  0.885  0.843 [2 per cell]
S  0.248  0.708  0.241 [4 per cell]